The following is a calculated XRD peak list of LiCo4O8. It was derived from a GGA+U-relaxed structure, using λ = 1.5418 Å (Cu Kα).
No peak broadening, texture or thermal motion is included.

Crystal structure
a = 5.698 Å, b = 5.708 Å, c = 9.774 Å
α = 73.50°, β = 74.20°, γ = 60.45°
Space group P-1 (No. 2)
Unique sites:
Li1 0.231 0.251 0.263 x2
Co1 0.000 0.000 0.000 x1
Co2 0.233 0.754 0.255 x2
Co3 0.268 0.243 0.748 x2
Co4 0.269 0.745 0.748 x2
Co5 0.500 0.500 0.500 x1
O1 0.083 0.111 0.141 x2
O2 0.085 0.661 0.138 x2
O3 0.129 0.115 0.644 x2
O4 0.163 0.601 0.637 x2
O5 0.383 0.885 0.853 x2
O6 0.384 0.847 0.369 x2
O7 0.385 0.400 0.367 x2
O8 0.408 0.374 0.849 x2

Peak list (12 most intense, 10 to 80 degrees two-theta, sorted by position)
- 2θ 18.99, rel. 86, hkl 1 1 0
- 2θ 19.16, rel. 100, hkl 0 0 2
- 2θ 36.75, rel. 18, hkl 0 2 0
- 2θ 36.86, rel. 11, hkl 1 0 -3
- 2θ 37.11, rel. 16, hkl 1 -1 2
- 2θ 37.41, rel. 11, hkl 2 1 3
- 2θ 44.55, rel. 31, hkl 2 0 -2
- 2θ 44.95, rel. 32, hkl 0 2 -2
- 2θ 45.47, rel. 31, hkl 2 2 4
- 2θ 64.97, rel. 8, hkl 2 -2 0
- 2θ 65.36, rel. 16, hkl 2 4 2
- 2θ 65.55, rel. 16, hkl 0 2 6